ErTm2Mg3Pd2Au: simulated powder diffractogram (Cu Kα (λ = 1.5418 Å)), based on DFT lattice parameters and positions (PBE).

Crystal structure
Unit cell a=4.090 b=7.391 c=7.391 alpha=120.07 beta=90.00 gamma=90.00
Fractional positions:
Er 0.000 0.000 0.000
Tm 0.000 0.413 0.826
Tm 0.000 0.826 0.413
Mg 0.500 0.162 0.413
Mg 0.500 0.413 0.162
Mg 0.500 0.664 0.664
Pd 0.500 0.080 0.745
Pd 0.500 0.745 0.080
Au 0.000 0.414 0.414

Largest 10 diffraction maxima, in order of falling intensity, 10° ≤ 2θ ≤ 90°:
| Position (°2θ) | I/Imax |
| --- | --- |
| 35.6 | 100.0 |
| 32.7 | 53.5 |
| 24.1 | 33.6 |
| 27.9 | 32.5 |
| 43.5 | 29.4 |
| 42.4 | 29.0 |
| 67.8 | 24.5 |
| 21.7 | 21.5 |
| 44.3 | 21.0 |
| 56.5 | 19.3 |